The following is a calculated XRD peak list of Pr7C3Br10. It was derived from a DFT-relaxed cell (GGA-PBE, the Materials Project), using Cu Kα (λ = 1.5418 Å).

The 10 most intense peaks (15 to 90 degrees two-theta), sorted by position:
2θ (°)	d [Å]	intensity
28.8	3.103	100
30.3	2.951	72
30.8	2.901	71
41.3	2.185	28
42.3	2.139	28
43.1	2.100	27
43.2	2.095	27
43.5	2.081	21
44.0	2.056	23
53.9	1.702	15

Cell and atoms:
```
Pr7C3Br10
1.0
9.2291 0.0000 0.0000
4.4182 10.2654 0.0000
4.1185 -0.8423 12.9122
Pr C Br
14 6 20
Cartesian
2.9211 4.3245 2.1917
3.8415 2.5357 5.4281
7.9814 7.5354 8.8942
2.2721 0.4330 1.0234
7.3598 9.1057 4.6575
8.7893 1.8653 11.6291
5.3236 1.0574 2.3199
12.4423 8.3657 10.5923
8.9766 7.5578 1.2831
10.4061 0.3174 8.2546
15.4938 8.9901 11.8887
9.7845 1.8877 4.0180
13.9244 6.8874 7.4841
14.8448 5.0986 10.7204
2.9470 2.1656 3.0055
2.9447 0.8963 3.5911
8.7375 -0.2047 12.6234
9.0284 9.6278 0.2888
14.8212 8.5268 9.3211
14.8189 7.2575 9.9067
4.7218 3.9292 8.1814
5.8885 2.3728 12.4656
4.0754 -0.0127 7.2877
9.3536 8.7119 11.3396
6.1494 7.8568 2.2003
7.3803 6.3383 6.2475
8.4661 4.7331 10.0176
5.7374 3.9895 1.2082
7.5659 0.8075 9.0849
6.7284 2.2190 4.8220
11.0375 7.2041 8.0901
10.2000 8.6156 3.8272
12.0285 5.4336 11.7040
9.2998 4.6900 2.8946
10.3856 3.0848 6.6646
11.6165 1.5663 10.7119
8.4123 0.7112 1.5725
13.6905 9.4359 5.6245
11.8774 7.0503 0.4466
13.0441 5.4939 4.7308
```

---

The following is a calculated XRD peak list of Pr5C6Br3. It was derived from a DFT-relaxed cell (GGA-PBE, the Materials Project), using Cu Kα (λ = 1.5418 Å).

The 10 most intense peaks (15 to 90 degrees two-theta), sorted by position:
2θ (°)	d [Å]	intensity
24.9	3.574	12
25.0	3.562	11
25.8	3.458	19
26.9	3.311	28
28.0	3.184	88
31.4	2.853	100
42.0	2.151	38
43.1	2.100	38
46.9	1.939	21
55.5	1.656	23

Cell and atoms:
```
Pr5C6Br3
1.0
11.6466 -1.9384 0.0000
11.6466 1.9384 0.0000
-9.6529 0.0000 13.8328
Pr C Br
10 12 6
Cartesian
22.2734 0.0000 1.4578
-8.6331 0.0000 12.3750
-5.8348 0.0000 8.3805
1.6636 0.0000 8.5611
3.9620 0.0000 5.4945
-0.3425 0.0000 11.7798
13.9829 0.0000 2.0530
9.6784 0.0000 8.3383
11.9768 0.0000 5.2717
19.4752 0.0000 5.4523
0.7841 0.0000 3.2082
-1.5230 0.0000 6.5094
-0.3506 0.0000 7.0941
1.9065 0.0000 3.8961
6.2210 0.0000 6.6286
1.5389 0.0000 13.3417
12.1015 0.0000 0.4911
7.4194 0.0000 7.2042
11.7339 0.0000 9.9367
13.9910 0.0000 6.7387
15.1634 0.0000 7.3234
12.8563 0.0000 10.6246
3.7536 0.0000 0.1700
-3.2980 0.0000 10.3588
9.0317 0.0000 3.3257
4.6087 0.0000 10.5071
16.9384 0.0000 3.4740
9.8867 0.0000 13.6628
```

---

The following is a calculated XRD peak list of Pr3CBr3. It was derived from a DFT-relaxed cell (GGA-PBE, the Materials Project), using Cu Kα (λ = 1.5418 Å).

The 10 most intense peaks (15 to 90 degrees two-theta), sorted by position:
2θ (°)	d [Å]	intensity
26.7	3.334	9
28.9	3.086	53
31.0	2.887	100
36.5	2.462	31
44.4	2.041	64
55.1	1.667	20
58.8	1.571	25
63.4	1.467	19
73.3	1.291	19
81.7	1.179	12

Cell and atoms:
```
Pr3CBr3
1.0
-5.7740 5.7740 5.7740
5.7740 -5.7740 5.7740
5.7740 5.7740 -5.7740
Pr C Br
12 4 12
Cartesian
1.6830 1.4435 -1.2040
6.9780 1.6830 -1.4435
1.4435 -1.2040 1.6830
4.5700 4.0910 -1.4435
4.0910 1.4435 1.2040
-1.2040 1.6830 1.4435
4.0910 -1.4435 4.5700
1.4435 1.2040 4.0910
1.2040 4.0910 1.4435
1.6830 -1.4435 6.9780
-1.4435 6.9780 1.6830
-1.4435 4.5700 4.0910
4.3305 1.4435 -1.4435
1.4435 1.4435 1.4435
1.4435 -1.4435 4.3305
-1.4435 4.3305 1.4435
7.2175 1.3284 1.5586
7.2175 -1.3284 4.2154
4.2154 7.2175 -1.3284
4.4455 1.5586 4.3305
4.3305 4.4455 1.5586
1.5586 7.2175 1.3284
7.1024 4.2154 4.3305
1.5586 4.3305 4.4455
1.3284 1.5586 7.2175
4.3305 7.1024 4.2154
-1.3284 4.2154 7.2175
4.2154 4.3305 7.1024
```

---

The following is a calculated XRD peak list of Pr4C2Br5. It was derived from a DFT-relaxed cell (GGA-PBE, the Materials Project), using Cu Kα (λ = 1.5418 Å).

The 10 most intense peaks (15 to 90 degrees two-theta), sorted by position:
2θ (°)	d [Å]	intensity
16.4	5.393	12
27.5	3.241	26
28.9	3.090	72
30.5	2.927	22
31.3	2.860	100
33.5	2.672	12
42.3	2.138	39
43.9	2.062	39
46.0	1.973	21
55.2	1.663	23

Cell and atoms:
```
Pr4C2Br5
1.0
9.6189 -1.9729 0.0000
9.6189 1.9729 0.0000
-2.2180 0.0000 8.0145
Pr C Br
4 2 5
Cartesian
0.0000 0.0000 0.0000
-0.8793 0.0000 3.2709
6.2811 0.0000 0.7465
12.0675 0.0000 2.5382
8.5116 0.0000 1.4293
9.8465 0.0000 1.8459
1.8585 0.0000 4.7093
3.1106 0.0000 0.2984
8.0334 0.0000 5.6305
15.2616 0.0000 2.9924
14.2815 0.0000 6.5965
```